For TmLuHg2, a structure optimized by DFT (PBE) gives the computed powder XRD pattern in this record (a wavelength of 1.5418 Å).
No peak broadening, texture or thermal motion is included.

Peak list (6 most intense, 2θ from 15° to 90°, in order of rising 2θ)
| Position (°2θ) | Rel. int. | index |
| --- | --- | --- |
| 24.29 | 1 | 2 0 0 |
| 34.62 | 100 | 2 2 0 |
| 49.76 | 18 | 4 0 0 |
| 62.04 | 38 | 4 2 2 |
| 73.03 | 12 | 4 4 0 |
| 83.40 | 17 | 6 2 0 |

Crystal structure
```
data_TmLuHg2
_chemical_formula_sum 'Tm4 Lu4 Hg8'
_space_group_name_H-M_alt 'F m -3 m'
_space_group_IT_number 225
_space_group_name_Hall '-F 4 2 3'
_cell_length_a 7.3291
_cell_length_b 7.3291
_cell_length_c 7.3291
_cell_angle_alpha 90.00
_cell_angle_beta 90.00
_cell_angle_gamma 90.00
loop_
_atom_site_label
_atom_site_fract_x
_atom_site_fract_y
_atom_site_fract_z
Tm1 0.0000 0.0000 0.0000
Lu1 0.0000 0.0000 0.5000
Hg1 0.2500 0.2500 0.2500
```